Structure and theoretical X-ray powder pattern of AcScGe2Pt5 (a crystal structure in Alexandria, relaxed with GGA-PBE; Cu Kα (λ = 1.5418 Å)).
Lines closer than 0.1° are merged.

Unit cell a=4.189 b=4.189 c=11.088 alpha=90.00 beta=90.00 gamma=90.00
Positions (direct):
1 Ac 0.000 0.000 0.000
2 Sc 0.000 0.000 0.500
3 Ge 0.500 0.500 0.220
4 Ge 0.500 0.500 0.780
5 Pt 0.000 0.500 0.338
6 Pt 0.000 0.500 0.662
7 Pt 0.500 0.000 0.338
8 Pt 0.500 0.000 0.662
9 Pt 0.500 0.500 0.000

Main lines, in order of falling intensity (15 to 90 degrees two-theta):
2θ (°), d/Å, intensity
31.3, 2.862, 100.0
24.1, 3.696, 83.0
43.2, 2.095, 62.1
44.8, 2.024, 62.0
34.3, 2.613, 54.1
50.1, 1.822, 48.2

Structure and theoretical X-ray powder pattern of NpHg3O7 (a crystal structure in Alexandria, relaxed with GGA-PBE; Cu Kα (λ = 1.5418 Å)).
Lines closer than 0.1° are merged.

Unit cell a=5.656 b=5.656 c=6.548 alpha=108.00 beta=108.00 gamma=91.32
Positions (direct):
1 Np 0.000 0.000 0.000
2 Hg 0.208 0.762 0.477
3 Hg 0.396 0.396 0.822
4 Hg 0.762 0.208 0.477
5 O 0.092 0.730 0.742
6 O 0.254 0.254 0.022
7 O 0.282 0.895 0.242
8 O 0.479 0.479 0.565
9 O 0.730 0.092 0.742
10 O 0.774 0.774 0.022
11 O 0.895 0.282 0.242

Main lines, in order of falling intensity (15 to 90 degrees two-theta):
2θ (°), d/Å, intensity
26.8, 3.331, 100.0
31.9, 2.804, 58.4
25.1, 3.545, 57.6
29.7, 3.007, 35.1
52.0, 1.758, 24.9
39.7, 2.271, 23.0

Structure and theoretical X-ray powder pattern of CsBaCdSe2 (a crystal structure in Alexandria, relaxed with GGA-PBE; Cu Kα (λ = 1.5418 Å)).
Lines closer than 0.1° are merged.

Unit cell a=8.361 b=5.642 c=9.498 alpha=90.00 beta=100.05 gamma=90.00
Positions (direct):
1 Cs 0.000 0.155 0.250
2 Cs 0.000 0.845 0.750
3 Ba 0.500 0.491 0.750
4 Ba 0.500 0.509 0.250
5 Cd 0.500 0.000 0.000
6 Cd 0.500 0.000 0.500
7 Se 0.263 0.316 0.966
8 Se 0.263 0.684 0.466
9 Se 0.737 0.316 0.534
10 Se 0.737 0.684 0.034

Main lines, in order of falling intensity (15 to 90 degrees two-theta):
2θ (°), d/Å, intensity
22.2, 4.012, 100.0
28.4, 3.147, 92.9
38.5, 2.339, 85.2
25.6, 3.474, 85.0
33.6, 2.669, 41.4
26.2, 3.398, 37.9

Structure and theoretical X-ray powder pattern of Dy4AlAu3 (a crystal structure in Alexandria, relaxed with GGA-PBE; Cu Kα (λ = 1.5418 Å)).
Lines closer than 0.1° are merged.

Unit cell a=3.713 b=4.647 c=11.191 alpha=90.00 beta=90.00 gamma=90.00
Positions (direct):
1 Dy 0.000 0.000 0.000
2 Dy 0.000 0.500 0.279
3 Dy 0.500 0.000 0.491
4 Dy 0.500 0.500 0.787
5 Al 0.000 0.000 0.715
6 Au 0.000 0.500 0.561
7 Au 0.500 0.000 0.225
8 Au 0.500 0.500 0.055

Main lines, in order of falling intensity (15 to 90 degrees two-theta):
2θ (°), d/Å, intensity
31.9, 2.808, 100.0
39.3, 2.290, 65.5
38.8, 2.323, 34.6
37.5, 2.397, 33.0
63.4, 1.468, 28.7
32.0, 2.798, 28.3

Structure and theoretical X-ray powder pattern of GaAg2F2 (a crystal structure in Alexandria, relaxed with GGA-PBE; Cu Kα (λ = 1.5418 Å)).
Lines closer than 0.1° are merged.

Unit cell a=7.048 b=7.048 c=3.106 alpha=90.00 beta=90.00 gamma=90.00
Positions (direct):
1 Ga 0.000 0.000 0.000
2 Ga 0.500 0.500 0.000
3 Ag 0.152 0.348 0.500
4 Ag 0.348 0.848 0.500
5 Ag 0.652 0.152 0.500
6 Ag 0.848 0.652 0.500
7 F 0.147 0.647 0.000
8 F 0.353 0.147 0.000
9 F 0.647 0.853 0.000
10 F 0.853 0.353 0.000

Main lines, in order of falling intensity (15 to 90 degrees two-theta):
2θ (°), d/Å, intensity
40.8, 2.212, 100.0
28.3, 3.152, 66.8
40.5, 2.229, 60.5
34.0, 2.636, 36.6
38.6, 2.330, 27.1
63.5, 1.465, 19.8

Structure and theoretical X-ray powder pattern of LaPmHoAg (a crystal structure in Alexandria, relaxed with GGA-PBE; Cu Kα (λ = 1.5418 Å)).
Lines closer than 0.1° are merged.

Unit cell a=3.691 b=3.691 c=8.758 alpha=90.00 beta=90.00 gamma=90.00
Positions (direct):
1 La 0.000 0.000 0.000
2 Pm 0.500 0.500 0.703
3 Ho 0.500 0.500 0.290
4 Ag 0.000 0.000 0.481

Main lines, in order of falling intensity (15 to 90 degrees two-theta):
2θ (°), d/Å, intensity
31.7, 2.822, 100.0
34.4, 2.610, 48.1
59.9, 1.545, 32.0
49.4, 1.846, 17.2
54.7, 1.677, 11.7
39.4, 2.290, 8.9

Structure and theoretical X-ray powder pattern of InGa9Ag3 (a crystal structure in Alexandria, relaxed with GGA-PBE; Cu Kα (λ = 1.5418 Å)).
Lines closer than 0.1° are merged.

Unit cell a=7.866 b=7.866 c=6.938 alpha=97.68 beta=97.68 gamma=139.48
Positions (direct):
1 In 0.000 0.000 0.000
2 Ga 0.000 0.000 0.500
3 Ga 0.005 0.649 0.643
4 Ga 0.286 0.503 0.786
5 Ga 0.351 0.995 0.357
6 Ga 0.497 0.714 0.214
7 Ga 0.503 0.286 0.786
8 Ga 0.649 0.005 0.643
9 Ga 0.714 0.497 0.214
10 Ga 0.995 0.351 0.357
11 Ag 0.000 0.500 0.000
12 Ag 0.500 0.000 0.000
13 Ag 0.500 0.500 0.500

Main lines, in order of falling intensity (15 to 90 degrees two-theta):
2θ (°), d/Å, intensity
37.2, 2.418, 100.0
35.3, 2.543, 72.2
38.0, 2.368, 67.4
37.8, 2.379, 64.5
39.2, 2.296, 56.9
41.2, 2.192, 48.2

Structure and theoretical X-ray powder pattern of Na2B3C (a crystal structure in Alexandria, relaxed with GGA-PBE; Cu Kα (λ = 1.5418 Å)).
Lines closer than 0.1° are merged.

Unit cell a=9.146 b=9.146 c=13.536 alpha=112.57 beta=112.57 gamma=17.71
Positions (direct):
1 Na 0.000 0.000 0.000
2 Na 0.000 0.000 0.497
3 Na 0.200 0.200 0.902
4 Na 0.201 0.201 0.400
5 Na 0.400 0.400 0.300
6 Na 0.400 0.400 0.799
7 Na 0.601 0.601 0.200
8 Na 0.601 0.601 0.698
9 Na 0.800 0.800 0.103
10 Na 0.801 0.801 0.599
11 B 0.022 0.022 0.793
12 B 0.026 0.026 0.301
13 B 0.174 0.174 0.098
14 B 0.174 0.174 0.595
15 B 0.237 0.237 0.721
16 B 0.243 0.243 0.233
17 B 0.367 0.367 0.985
18 B 0.430 0.430 0.609
19 B 0.565 0.565 0.881
20 B 0.566 0.566 0.381
21 B 0.630 0.630 0.010
22 B 0.631 0.631 0.509
23 B 0.778 0.778 0.804
24 B 0.837 0.837 0.422
25 B 0.958 0.958 0.168
26 C 0.369 0.369 0.485
27 C 0.428 0.428 0.108
28 C 0.774 0.774 0.296
29 C 0.837 0.837 0.923
30 C 0.962 0.962 0.673

Main lines, in order of falling intensity (15 to 90 degrees two-theta):
2θ (°), d/Å, intensity
42.0, 2.149, 100.0
40.4, 2.232, 48.6
41.8, 2.162, 38.3
62.8, 1.479, 16.7
36.3, 2.477, 16.6
76.5, 1.246, 13.0

Structure and theoretical X-ray powder pattern of USnAu (a crystal structure in Alexandria, relaxed with GGA-PBE; Cu Kα (λ = 1.5418 Å)).
Lines closer than 0.1° are merged.

Unit cell a=4.822 b=5.936 c=9.256 alpha=90.00 beta=90.00 gamma=90.00
Positions (direct):
1 U 0.000 0.216 0.000
2 U 0.000 0.784 0.000
3 U 0.500 0.284 0.500
4 U 0.500 0.716 0.500
5 Sn 0.000 0.500 0.313
6 Sn 0.000 0.500 0.687
7 Sn 0.500 0.000 0.187
8 Sn 0.500 0.000 0.813
9 Au 0.000 0.000 0.349
10 Au 0.000 0.000 0.651
11 Au 0.500 0.500 0.151
12 Au 0.500 0.500 0.849

Main lines, in order of falling intensity (15 to 90 degrees two-theta):
2θ (°), d/Å, intensity
34.5, 2.599, 100.0
36.9, 2.438, 81.3
37.3, 2.411, 43.4
35.9, 2.498, 40.9
52.8, 1.735, 27.9
65.5, 1.425, 20.9

Structure and theoretical X-ray powder pattern of Nd2Dy3Pd2 (a crystal structure in Alexandria, relaxed with GGA-PBE; Cu Kα (λ = 1.5418 Å)).
Lines closer than 0.1° are merged.

Unit cell a=12.643 b=3.748 c=9.174 alpha=90.00 beta=117.61 gamma=90.00
Positions (direct):
1 Nd 0.154 0.000 0.313
2 Nd 0.346 0.500 0.687
3 Nd 0.654 0.500 0.313
4 Nd 0.846 0.000 0.687
5 Dy 0.000 0.500 0.500
6 Dy 0.115 0.500 0.942
7 Dy 0.385 0.000 0.058
8 Dy 0.500 0.000 0.500
9 Dy 0.615 0.000 0.942
10 Dy 0.885 0.500 0.058
11 Pd 0.164 0.000 0.739
12 Pd 0.336 0.500 0.261
13 Pd 0.664 0.500 0.739
14 Pd 0.836 0.000 0.261

Main lines, in order of falling intensity (15 to 90 degrees two-theta):
2θ (°), d/Å, intensity
32.0, 2.801, 100.0
33.9, 2.648, 89.4
30.9, 2.895, 74.1
32.7, 2.741, 54.6
35.9, 2.500, 48.3
33.7, 2.658, 44.3